Diffraction record for Na2Co5P4O16. The powder XRD pattern is computed, not measured: it uses a PBE+U-relaxed structure and a wavelength of 1.5418 Å.
Neutral-atom scattering factors, no anomalous dispersion.

Largest 6 diffraction maxima, by intensity, 2θ = 15–90°:
| d/Å | 2θ/deg | Rel. int. |
| --- | --- | --- |
| 2.880 | 31.0 | 100 |
| 4.474 | 19.8 | 98 |
| 2.544 | 35.3 | 84 |
| 4.618 | 19.2 | 80 |
| 3.052 | 29.3 | 74 |
| 2.310 | 39.0 | 53 |

Structural model:
```
data_Na2Co5P4O16
_chemical_formula_sum 'Na2 Co5 P4 O16'
_symmetry_space_group_name_H-M 'P -1'
_symmetry_Int_Tables_number 2
_symmetry_space_group_name_Hall '-P 1'
_cell_length_a 5.1301
_cell_length_b 7.8853
_cell_length_c 8.0684
_cell_angle_alpha 110.22
_cell_angle_beta 91.08
_cell_angle_gamma 101.64
loop_
_atom_site_label
_atom_site_type_symbol
_atom_site_fract_x
_atom_site_fract_y
_atom_site_fract_z
Na1 Na 0.0641 0.0290 0.2934
Co1 Co 0.1471 0.4066 0.6690
Co2 Co 0.4056 0.7425 0.2197
Co3 Co 0.5000 0.0000 0.0000
P1 P 0.1174 0.3014 0.0361
P2 P 0.3601 0.7911 0.5722
O1 O 0.1633 0.4942 0.1838
O2 O 0.1686 0.8236 0.4359
O3 O 0.1857 0.7803 0.0239
O4 O 0.2114 0.6372 0.6279
O5 O 0.2402 0.1682 0.0954
O6 O 0.2551 0.3247 0.8701
O7 O 0.3882 0.2472 0.5227
O8 O 0.4240 0.9760 0.7352
```